For TaCd2NiO6, the PBE+U geometry in Alexandria gives the calculated powder diffractogram in this record (a wavelength of 1.5418 Å).
No peak broadening, texture or thermal motion is included.

Cell: 5.4263 5.5545 9.4464 Å, 90.00 124.93 90.00°
Space group P2_1/c (No. 14)
Asymmetric unit:
Ta  0.0000  0.0000  0.0000 x2
Cd  0.2365  0.0432  0.7489 x4
Ni  0.5000  0.0000  0.5000 x2
O  0.1420  0.2087  0.4441 x4
O  0.2477  0.7056  0.4497 x4
O  0.3513  0.0337  0.2503 x4

Most intense lines, 10 to 90 degrees two-theta, sorted by position:
| Position (°2θ) | I_rel |
| --- | --- |
| 20.0 | 12 |
| 32.2 | 24 |
| 32.7 | 100 |
| 33.0 | 23 |
| 46.8 | 23 |
| 46.9 | 13 |
| 57.7 | 16 |
| 58.7 | 16 |